The following is a computed X-ray diffraction stick pattern of Ga2NiO4. It was derived from DFT lattice parameters and positions (GGA+U), using a wavelength of 1.5418 Å.
Intensities are scaled so that the largest is 100.

Structure:
```
56
Lattice="5.1069 -2.9855 0.0000 5.1069 2.9855 0.0000 -3.3441 0.0000 19.2753" Properties=species:S:1:pos:R:3 pbc="T T T"
Ga 0.0000 0.0000 0.0000
Ga 0.0663 0.0000 5.5327
Ga 0.1433 0.0000 10.9571
Ga 2.6491 1.4927 12.7004
Ga 4.3151 1.4773 3.0260
Ga 0.0453 0.0000 14.4632
Ga 6.0260 1.5022 7.9114
Ga 4.3676 1.4934 17.5045
Ga 3.4306 0.0000 9.6464
Ga 6.9290 0.0000 1.2461
Ga 4.3151 -1.4773 3.0260
Ga 2.6491 -1.4927 12.7004
Ga 6.8185 0.0000 4.8896
Ga 6.9709 0.0000 15.7421
Ga 4.3676 -1.4934 17.5045
Ga 6.0260 -1.5022 7.9114
Ni 1.7766 0.0000 3.0314
Ni 3.4622 0.0000 0.6401
Ni 3.5095 0.0000 6.0663
Ni 1.8119 0.0000 17.5091
Ni 3.5065 0.0000 15.1069
Ni 5.2012 0.0000 12.7035
Ni 6.8944 0.0000 10.2979
Ni 8.5963 0.0000 7.9095
O -1.6706 0.0000 11.5742
O 0.0079 0.0000 1.9377
O 1.0286 1.5450 11.5675
O 2.6890 1.4561 1.8913
O 2.5478 1.5423 9.0355
O 0.8792 1.4444 18.6605
O 0.1177 0.0000 9.0673
O -1.5340 0.0000 18.6569
O 1.6449 0.0000 6.7689
O 4.4506 1.6060 6.7323
O 0.0636 0.0000 16.3859
O 2.7445 1.4458 16.3717
O 5.9394 1.5779 4.2526
O 4.2684 1.4440 13.8477
O 3.5529 0.0000 4.0451
O 1.8562 0.0000 13.8426
O 3.4525 0.0000 11.5702
O 5.1444 0.0000 1.8906
O 2.6890 -1.4561 1.8913
O 1.0286 -1.5450 11.5675
O 0.8792 -1.4444 18.6605
O 2.5478 -1.5423 9.0355
O 3.5637 0.0000 18.6187
O 5.2392 0.0000 9.0217
O 5.1618 0.0000 16.3751
O 6.8433 0.0000 6.7731
O 2.7445 -1.4458 16.3717
O 4.4506 -1.6060 6.7323
O 4.2684 -1.4440 13.8477
O 6.9501 0.0000 13.8344
O 5.9394 -1.5779 4.2526
O 8.6583 0.0000 4.2443
```

Main lines, in order of falling intensity (2θ = 5–70°):
2θ (°)	I_rel
35.62	100
35.38	62
30.20	34
62.75	26
62.84	25
56.90	21
57.25	21
43.14	20
35.69	16
62.19	13